Diffraction record for Ba2MgCuSb2F14. The powder diffractogram is computed, not measured: it uses a structure optimized by DFT (PBE) and λ = 1.5418 Å (Cu Kα).
No peak broadening, texture or thermal motion is included.

Most intense lines, 5 to 70 degrees two-theta, in order of falling intensity:
- 3.612 Å, intensity 100
- 3.570 Å, intensity 100
- 4.056 Å, intensity 95
- 3.138 Å, intensity 87
- 3.314 Å, intensity 79
- 3.178 Å, intensity 50

Structure:
abc: 5.352 7.713 16.224
angles: 89.88 89.33 70.38
Space group P-1 (No. 2)
Inequivalent atoms, fractional coordinates:
Ba 0.091 0.148 0.373 (multiplicity 2)
Ba 0.264 0.146 0.873 (multiplicity 2)
Mg 0.450 0.499 0.247 (multiplicity 2)
Cu 0.500 0.500 0.000 (multiplicity 1)
Cu 0.500 0.500 0.500 (multiplicity 1)
Sb 0.068 0.274 0.123 (multiplicity 2)
Sb 0.154 0.273 0.625 (multiplicity 2)
F 0.008 0.146 0.718 (multiplicity 2)
F 0.112 0.803 0.448 (multiplicity 2)
F 0.119 0.997 0.105 (multiplicity 2)
F 0.133 0.658 0.014 (multiplicity 2)
F 0.155 0.522 0.171 (multiplicity 2)
F 0.190 0.476 0.330 (multiplicity 2)
F 0.227 0.712 0.763 (multiplicity 2)
F 0.292 0.336 0.488 (multiplicity 2)
F 0.335 0.152 0.215 (multiplicity 2)
F 0.337 0.564 0.606 (multiplicity 2)
F 0.384 0.998 0.604 (multiplicity 2)
F 0.406 0.440 0.892 (multiplicity 2)
F 0.413 0.199 0.049 (multiplicity 2)
F 0.438 0.288 0.738 (multiplicity 2)


Diffraction record for Nb4P2AuS20. The powder diffractogram is computed, not measured: it uses a structure optimized by DFT (PBE) and λ = 1.5418 Å (Cu Kα).
No peak broadening, texture or thermal motion is included.

Most intense lines, 5 to 70 degrees two-theta, in order of falling intensity:
- 5.771 Å, intensity 100
- 4.278 Å, intensity 30
- 3.912 Å, intensity 20
- 6.412 Å, intensity 19
- 2.654 Å, intensity 19
- 6.548 Å, intensity 16

Structure:
abc: 25.670 7.825 13.137
angles: 90.00 92.33 90.00
Space group C2/c (No. 15)
Inequivalent atoms, fractional coordinates:
Nb 0.140 0.067 0.223 (multiplicity 8)
Nb 0.141 0.059 0.505 (multiplicity 8)
P 0.102 0.391 0.364 (multiplicity 8)
Au 0.000 0.500 0.000 (multiplicity 4)
S 0.048 0.418 0.861 (multiplicity 8)
S 0.070 0.144 0.360 (multiplicity 8)
S 0.071 0.123 0.078 (multiplicity 8)
S 0.072 0.120 0.638 (multiplicity 8)
S 0.145 0.396 0.237 (multiplicity 8)
S 0.149 0.385 0.495 (multiplicity 8)
S 0.157 0.157 0.864 (multiplicity 8)
S 0.208 0.133 0.098 (multiplicity 8)
S 0.209 0.117 0.642 (multiplicity 8)
S 0.210 0.042 0.370 (multiplicity 8)


Diffraction record for FePH12C4Cl4. The powder diffractogram is computed, not measured: it uses a structure optimized by DFT (PBE) and λ = 1.5418 Å (Cu Kα).
No peak broadening, texture or thermal motion is included.

Most intense lines, 5 to 70 degrees two-theta, in order of falling intensity:
- 4.826 Å, intensity 100
- 7.031 Å, intensity 99
- 3.398 Å, intensity 61
- 6.213 Å, intensity 48
- 4.059 Å, intensity 37
- 3.318 Å, intensity 30

Structure:
abc: 8.1188 8.1188 13.2727
angles: 90.00 90.00 120.00
Space group P6_3mc (No. 186)
Inequivalent atoms, fractional coordinates:
Fe 0.0000 0.0000 0.0000 (multiplicity 2)
P 0.3333 0.6667 0.2566 (multiplicity 2)
H 0.0208 0.3994 0.2396 (multiplicity 12)
H 0.0944 0.5472 0.1289 (multiplicity 6)
H 0.2594 0.5188 0.4184 (multiplicity 6)
C 0.0930 0.5465 0.2117 (multiplicity 6)
C 0.3333 0.6667 0.3917 (multiplicity 2)
Cl 0.0000 0.0000 0.1665 (multiplicity 2)
Cl 0.1489 0.2978 0.9458 (multiplicity 6)


Diffraction record for GeBO3. The powder diffractogram is computed, not measured: it uses a structure optimized by DFT (PBE) and λ = 1.5418 Å (Cu Kα).
No peak broadening, texture or thermal motion is included.

Most intense lines, 5 to 70 degrees two-theta, in order of falling intensity:
- 1.967 Å, intensity 100
- 2.409 Å, intensity 95
- 3.407 Å, intensity 64
- 1.704 Å, intensity 56
- 1.391 Å, intensity 35
- 1.524 Å, intensity 31

Structure:
abc: 3.407 3.407 3.407
angles: 90.00 90.00 90.00
Space group Pm-3m (No. 221)
Inequivalent atoms, fractional coordinates:
Ge 0.000 0.000 0.000 (multiplicity 1)
B 0.500 0.500 0.500 (multiplicity 1)
O 0.000 0.500 0.500 (multiplicity 3)


Diffraction record for Mg6CrSi. The powder diffractogram is computed, not measured: it uses a structure optimized by DFT (PBE) and λ = 1.5418 Å (Cu Kα).
No peak broadening, texture or thermal motion is included.

Most intense lines, 5 to 70 degrees two-theta, in order of falling intensity:
- 2.325 Å, intensity 100
- 2.355 Å, intensity 53
- 2.456 Å, intensity 40
- 2.639 Å, intensity 26
- 1.391 Å, intensity 18
- 1.541 Å, intensity 17

Structure:
abc: 4.912 6.061 10.736
angles: 90.00 90.00 90.00
Space group Amm2 (No. 38)
Inequivalent atoms, fractional coordinates:
Mg 0.000 0.000 0.000 (multiplicity 2)
Mg 0.000 0.000 0.499 (multiplicity 2)
Mg 0.000 0.248 0.255 (multiplicity 4)
Mg 0.500 0.249 0.587 (multiplicity 4)
Cr 0.500 0.000 0.337 (multiplicity 2)
Si 0.500 0.000 0.838 (multiplicity 2)


Diffraction record for DyO2. The powder diffractogram is computed, not measured: it uses a structure optimized by DFT (PBE) and λ = 1.5418 Å (Cu Kα).
No peak broadening, texture or thermal motion is included.

Most intense lines, 5 to 70 degrees two-theta, in order of falling intensity:
- 3.109 Å, intensity 100
- 3.889 Å, intensity 49
- 2.939 Å, intensity 46
- 2.663 Å, intensity 45
- 5.916 Å, intensity 42
- 2.700 Å, intensity 37

Structure:
abc: 4.190 3.655 6.190
angles: 90.00 107.10 90.00
Space group P2_1/m (No. 11)
Inequivalent atoms, fractional coordinates:
Dy 0.171 0.250 0.313 (multiplicity 2)
O 0.183 0.750 0.052 (multiplicity 2)
O 0.265 0.750 0.544 (multiplicity 2)


Diffraction record for Tm6Ni2Sn. The powder diffractogram is computed, not measured: it uses a structure optimized by DFT (PBE) and λ = 1.5418 Å (Cu Kα).
No peak broadening, texture or thermal motion is included.

Most intense lines, 5 to 70 degrees two-theta, in order of falling intensity:
- 2.760 Å, intensity 100
- 2.565 Å, intensity 57
- 2.502 Å, intensity 40
- 2.601 Å, intensity 40
- 2.523 Å, intensity 35
- 2.931 Å, intensity 31

Structure:
abc: 9.247 9.471 10.008
angles: 90.00 90.00 90.00
Space group Immm (No. 71)
Inequivalent atoms, fractional coordinates:
Tm 0.000 0.206 0.233 (multiplicity 8)
Tm 0.192 0.500 0.173 (multiplicity 8)
Tm 0.204 0.319 0.500 (multiplicity 8)
Ni 0.000 0.353 0.000 (multiplicity 4)
Ni 0.000 0.500 0.372 (multiplicity 4)
Sn 0.000 0.000 0.000 (multiplicity 2)
Sn 0.000 0.000 0.500 (multiplicity 2)


Diffraction record for Li3TaF6. The powder diffractogram is computed, not measured: it uses a structure optimized by DFT (PBE) and λ = 1.5418 Å (Cu Kα).
No peak broadening, texture or thermal motion is included.

Most intense lines, 5 to 70 degrees two-theta, in order of falling intensity:
- 5.784 Å, intensity 100
- 4.998 Å, intensity 72
- 4.373 Å, intensity 51
- 5.316 Å, intensity 51
- 4.317 Å, intensity 50
- 4.966 Å, intensity 50

Structure:
abc: 5.753 5.996 6.013
angles: 94.05 116.04 101.39
Space group P-1 (No. 2)
Inequivalent atoms, fractional coordinates:
Li 0.000 0.000 0.000 (multiplicity 1)
Li 0.000 0.500 0.500 (multiplicity 1)
Li 0.500 0.000 0.500 (multiplicity 1)
Ta 0.500 0.000 0.000 (multiplicity 1)
F 0.180 0.777 0.689 (multiplicity 2)
F 0.347 0.155 0.223 (multiplicity 2)
F 0.467 0.770 0.214 (multiplicity 2)


Diffraction record for Ba4SnN4. The powder diffractogram is computed, not measured: it uses a structure optimized by DFT (PBE) and λ = 1.5418 Å (Cu Kα).
No peak broadening, texture or thermal motion is included.

Most intense lines, 5 to 70 degrees two-theta, in order of falling intensity:
- 3.153 Å, intensity 100
- 3.173 Å, intensity 64
- 3.227 Å, intensity 55
- 2.902 Å, intensity 49
- 2.782 Å, intensity 46
- 3.132 Å, intensity 30

Structure:
abc: 6.871 7.041 9.872
angles: 72.22 80.39 66.80
Space group P-1 (No. 2)
Inequivalent atoms, fractional coordinates:
Ba 0.216 0.465 0.116 (multiplicity 2)
Ba 0.225 0.931 0.341 (multiplicity 2)
Ba 0.256 0.273 0.535 (multiplicity 2)
Ba 0.282 0.992 0.940 (multiplicity 2)
Sn 0.274 0.656 0.743 (multiplicity 2)
N 0.024 0.814 0.885 (multiplicity 2)
N 0.084 0.686 0.581 (multiplicity 2)
N 0.453 0.338 0.865 (multiplicity 2)
N 0.475 0.842 0.683 (multiplicity 2)


Diffraction record for Pm2AgOs. The powder diffractogram is computed, not measured: it uses a structure optimized by DFT (PBE) and λ = 1.5418 Å (Cu Kα).
No peak broadening, texture or thermal motion is included.

Most intense lines, 5 to 70 degrees two-theta, in order of falling intensity:
- 2.540 Å, intensity 100
- 1.466 Å, intensity 36
- 1.796 Å, intensity 18
- 4.147 Å, intensity 3
- 2.166 Å, intensity 2
- 1.648 Å, intensity 1

Structure:
abc: 7.184 7.184 7.184
angles: 90.00 90.00 90.00
Space group Fm-3m (No. 225)
Inequivalent atoms, fractional coordinates:
Pm 0.250 0.250 0.250 (multiplicity 8)
Ag 0.000 0.000 0.000 (multiplicity 4)
Os 0.000 0.000 0.500 (multiplicity 4)


Please write out number 1 again, unchanged.
Diffraction record for Ba2MgCuSb2F14. The powder diffractogram is computed, not measured: it uses a structure optimized by DFT (PBE) and λ = 1.5418 Å (Cu Kα).
No peak broadening, texture or thermal motion is included.

Most intense lines, 5 to 70 degrees two-theta, in order of falling intensity:
- 3.612 Å, intensity 100
- 3.570 Å, intensity 100
- 4.056 Å, intensity 95
- 3.138 Å, intensity 87
- 3.314 Å, intensity 79
- 3.178 Å, intensity 50

Structure:
abc: 5.352 7.713 16.224
angles: 89.88 89.33 70.38
Space group P-1 (No. 2)
Inequivalent atoms, fractional coordinates:
Ba 0.091 0.148 0.373 (multiplicity 2)
Ba 0.264 0.146 0.873 (multiplicity 2)
Mg 0.450 0.499 0.247 (multiplicity 2)
Cu 0.500 0.500 0.000 (multiplicity 1)
Cu 0.500 0.500 0.500 (multiplicity 1)
Sb 0.068 0.274 0.123 (multiplicity 2)
Sb 0.154 0.273 0.625 (multiplicity 2)
F 0.008 0.146 0.718 (multiplicity 2)
F 0.112 0.803 0.448 (multiplicity 2)
F 0.119 0.997 0.105 (multiplicity 2)
F 0.133 0.658 0.014 (multiplicity 2)
F 0.155 0.522 0.171 (multiplicity 2)
F 0.190 0.476 0.330 (multiplicity 2)
F 0.227 0.712 0.763 (multiplicity 2)
F 0.292 0.336 0.488 (multiplicity 2)
F 0.335 0.152 0.215 (multiplicity 2)
F 0.337 0.564 0.606 (multiplicity 2)
F 0.384 0.998 0.604 (multiplicity 2)
F 0.406 0.440 0.892 (multiplicity 2)
F 0.413 0.199 0.049 (multiplicity 2)
F 0.438 0.288 0.738 (multiplicity 2)